Structure and simulated powder XRD pattern of CrH14N3O8 (a structure optimized by DFT (GGA+U); Cu Kα X-rays).

Top 10 peaks for 10 to 80 degrees two-theta, by angle:
- 15.77 deg, 5.618 Å, intensity 100
- 17.89 deg, 4.959 Å, intensity 24
- 18.90 deg, 4.695 Å, intensity 40
- 26.14 deg, 3.409 Å, intensity 85
- 30.04 deg, 2.975 Å, intensity 14
- 36.23 deg, 2.479 Å, intensity 39
- 41.18 deg, 2.192 Å, intensity 22
- 45.22 deg, 2.005 Å, intensity 21
- 47.76 deg, 1.904 Å, intensity 14
- 53.78 deg, 1.705 Å, intensity 12

Crystal structure
a = 6.828 Å, b = 6.828 Å, c = 6.828 Å
α = 118.21°, β = 118.21°, γ = 93.13°
Element x y z (fractional)
1 Cr 0.000 0.000 0.000
2 H 0.145 0.805 0.573
3 H 0.195 0.769 0.340
4 H 0.231 0.572 0.427
5 H 0.328 0.661 0.000
6 H 0.339 0.339 0.668
7 H 0.393 0.393 0.000
8 H 0.428 0.855 0.660
9 H 0.572 0.231 0.427
10 H 0.607 0.607 0.000
11 H 0.661 0.328 0.000
12 H 0.672 0.672 0.332
13 H 0.769 0.195 0.340
14 H 0.805 0.145 0.573
15 H 0.855 0.428 0.660
16 N 0.250 0.750 0.500
17 N 0.500 0.500 0.000
18 N 0.750 0.250 0.500
19 O 0.034 0.713 0.000
20 O 0.217 0.217 0.461
21 O 0.244 0.783 0.000
22 O 0.287 0.287 0.322
23 O 0.713 0.034 0.000
24 O 0.756 0.756 0.539
25 O 0.783 0.244 0.000
26 O 0.966 0.966 0.678